# Ba3Mg3Zn2
Simulated powder XRD pattern, Cu Kα. Input: DFT lattice parameters and positions (GGA-PBE).

Top 10 peaks for 10° ≤ 2θ ≤ 90°, in order of rising 2θ:
| d (Å) | I (rel.) |
| --- | --- |
| 5.171 | 15.2 |
| 3.916 | 15.0 |
| 3.611 | 14.4 |
| 3.059 | 100.0 |
| 3.043 | 18.2 |
| 2.843 | 31.5 |
| 2.612 | 21.6 |
| 2.077 | 12.2 |
| 1.820 | 13.1 |
| 1.680 | 16.8 |

```
data_Ba3Mg3Zn2
_chemical_formula_sum 'Ba12 Mg12 Zn8'
_space_group_name_H-M_alt 'C m c m'
_space_group_IT_number 63
_space_group_name_Hall '-C 2c 2'
_cell_length_a 5.6864
_cell_length_b 12.4248
_cell_length_c 15.1321
_cell_angle_alpha 90.00
_cell_angle_beta 90.00
_cell_angle_gamma 90.00
loop_
_atom_site_label
_atom_site_type_symbol
_atom_site_fract_x
_atom_site_fract_y
_atom_site_fract_z
_atom_site_occupancy
Ba1 Ba 0.0000 0.0526 0.2500 1
Ba2 Ba 0.0000 0.1630 0.5318 1
Mg1 Mg 0.0000 0.2718 0.7500 1
Mg2 Mg 0.0000 0.4641 0.5977 1
Zn1 Zn 0.0000 0.3197 0.1658 1
```

---

# Sc6AgBi2C
Simulated powder XRD pattern, Cu Kα. Input: DFT lattice parameters and positions (GGA-PBE).

Top 10 peaks for 10° ≤ 2θ ≤ 90°, in order of rising 2θ:
| d (Å) | I (rel.) |
| --- | --- |
| 4.891 | 19.3 |
| 3.458 | 100.0 |
| 2.823 | 60.6 |
| 2.448 | 43.4 |
| 2.440 | 19.9 |
| 1.997 | 43.4 |
| 1.729 | 41.8 |
| 1.476 | 16.6 |
| 1.412 | 13.6 |
| 1.308 | 14.9 |

```
data_Sc6AgBi2C
_chemical_formula_sum 'Sc6 Ag1 Bi2 C1'
_space_group_name_H-M_alt 'P 4/m m m'
_space_group_IT_number 123
_space_group_name_Hall '-P 4 2'
_cell_length_a 4.8956
_cell_length_b 4.8956
_cell_length_c 9.7600
_cell_angle_alpha 90.00
_cell_angle_beta 90.00
_cell_angle_gamma 90.00
loop_
_atom_site_label
_atom_site_type_symbol
_atom_site_fract_x
_atom_site_fract_y
_atom_site_fract_z
_atom_site_occupancy
Sc1 Sc 0.0000 0.0000 0.2236 1
Sc2 Sc 0.0000 0.5000 0.0000 1
Sc3 Sc 0.0000 0.5000 0.5000 1
Ag1 Ag 0.0000 0.0000 0.5000 1
Bi1 Bi 0.5000 0.5000 0.2403 1
C1 C 0.0000 0.0000 0.0000 1
```

---

# YLuBeGa
Simulated powder XRD pattern, Cu Kα. Input: DFT lattice parameters and positions (GGA-PBE).

Top 10 peaks for 10° ≤ 2θ ≤ 90°, in order of rising 2θ:
| d (Å) | I (rel.) |
| --- | --- |
| 3.993 | 22.2 |
| 3.458 | 36.2 |
| 2.445 | 100.0 |
| 2.085 | 12.3 |
| 1.997 | 10.6 |
| 1.729 | 17.3 |
| 1.547 | 14.1 |
| 1.412 | 35.1 |
| 1.223 | 10.9 |
| 1.094 | 16.0 |

```
data_YLuBeGa
_chemical_formula_sum 'Y4 Lu4 Be4 Ga4'
_space_group_name_H-M_alt 'F -4 3 m'
_space_group_IT_number 216
_space_group_name_Hall 'F -4 2 3'
_cell_length_a 6.9164
_cell_length_b 6.9164
_cell_length_c 6.9164
_cell_angle_alpha 90.00
_cell_angle_beta 90.00
_cell_angle_gamma 90.00
loop_
_atom_site_label
_atom_site_type_symbol
_atom_site_fract_x
_atom_site_fract_y
_atom_site_fract_z
_atom_site_occupancy
Y1 Y 0.0000 0.0000 0.0000 1
Lu1 Lu 0.0000 0.0000 0.5000 1
Be1 Be 0.2500 0.2500 0.7500 1
Ga1 Ga 0.2500 0.2500 0.2500 1
```

---

# Dy3YS3
Simulated powder XRD pattern, Cu Kα. Input: DFT lattice parameters and positions (GGA-PBE).

Top 10 peaks for 10° ≤ 2θ ≤ 90°, in order of rising 2θ:
| d (Å) | I (rel.) |
| --- | --- |
| 3.162 | 100.0 |
| 2.742 | 70.2 |
| 2.731 | 34.9 |
| 1.939 | 25.0 |
| 1.935 | 50.0 |
| 1.653 | 31.0 |
| 1.648 | 15.6 |
| 1.581 | 25.8 |
| 1.226 | 21.8 |
| 1.119 | 16.8 |

```
data_Dy3YS3
_chemical_formula_sum 'Dy12 Y4 S12'
_space_group_name_H-M_alt 'P 42/m n m'
_space_group_IT_number 136
_space_group_name_Hall '-P 4n 2n'
_cell_length_a 10.9689
_cell_length_b 10.9689
_cell_length_c 5.4624
_cell_angle_alpha 90.00
_cell_angle_beta 90.00
_cell_angle_gamma 90.00
loop_
_atom_site_label
_atom_site_type_symbol
_atom_site_fract_x
_atom_site_fract_y
_atom_site_fract_z
_atom_site_occupancy
Dy1 Dy 0.1198 0.3729 0.0000 1
Dy2 Dy 0.1271 0.1271 0.5000 1
Y1 Y 0.1217 0.8783 0.0000 1
S1 S 0.1255 0.1255 0.0000 1
S2 S 0.1262 0.3742 0.5000 1
```

---

# Rb2HoAuBr6
Simulated powder XRD pattern, Cu Kα. Input: DFT lattice parameters and positions (GGA-PBE).

Top 10 peaks for 10° ≤ 2θ ≤ 90°, in order of rising 2θ:
| d (Å) | I (rel.) |
| --- | --- |
| 6.533 | 33.0 |
| 6.316 | 50.9 |
| 4.555 | 31.6 |
| 4.526 | 40.4 |
| 3.772 | 100.0 |
| 3.713 | 32.0 |
| 3.158 | 56.2 |
| 2.571 | 39.4 |
| 2.444 | 43.3 |
| 2.415 | 50.8 |

```
data_Rb2HoAuBr6
_chemical_formula_sum 'Rb2 Ho1 Au1 Br6'
_space_group_name_H-M_alt 'P -1'
_space_group_IT_number 2
_cell_length_a 7.8446
_cell_length_b 7.8891
_cell_length_c 8.0685
_cell_angle_alpha 110.16
_cell_angle_beta 105.14
_cell_angle_gamma 109.68
loop_
_space_group_symop_operation_xyz
'x,y,z'
'-x,-y,-z'
loop_
_atom_site_label
_atom_site_type_symbol
_atom_site_fract_x
_atom_site_fract_y
_atom_site_fract_z
_atom_site_occupancy
Rb1 Rb 0.2354 0.0088 0.2739 1
Ho1 Ho 0.0000 0.5000 0.5000 1
Au1 Au 0.5000 0.5000 0.0000 1
Br1 Br 0.1925 0.8875 0.8126 1
Br2 Br 0.1969 0.3247 0.6953 1
Br3 Br 0.2899 0.6161 0.3671 1
```

---

# Si8Ni3Pt2
Simulated powder XRD pattern, Cu Kα. Input: DFT lattice parameters and positions (GGA-PBE).

Top 10 peaks for 10° ≤ 2θ ≤ 90°, in order of rising 2θ:
| d (Å) | I (rel.) |
| --- | --- |
| 6.292 | 17.4 |
| 3.854 | 23.4 |
| 3.821 | 22.6 |
| 3.286 | 59.2 |
| 3.266 | 61.7 |
| 2.713 | 22.9 |
| 2.055 | 100.0 |
| 1.927 | 22.0 |
| 1.910 | 21.8 |
| 1.659 | 18.1 |

```
data_Si8Ni3Pt2
_chemical_formula_sum 'Si16 Ni6 Pt4'
_space_group_name_H-M_alt 'C m m m'
_space_group_IT_number 65
_space_group_name_Hall '-C 2 2'
_cell_length_a 7.7072
_cell_length_b 12.5834
_cell_length_c 3.8207
_cell_angle_alpha 90.00
_cell_angle_beta 90.00
_cell_angle_gamma 90.00
loop_
_atom_site_label
_atom_site_type_symbol
_atom_site_fract_x
_atom_site_fract_y
_atom_site_fract_z
_atom_site_occupancy
Si1 Si 0.0000 0.1044 0.0000 1
Si2 Si 0.0000 0.3692 0.0000 1
Si3 Si 0.2413 0.3783 0.5000 1
Ni1 Ni 0.0000 0.5000 0.5000 1
Ni2 Ni 0.2405 0.5000 0.0000 1
Pt1 Pt 0.0000 0.2354 0.5000 1
```

---

# Rb2YPuSe4
Simulated powder XRD pattern, Cu Kα. Input: DFT lattice parameters and positions (GGA-PBE).

Top 10 peaks for 10° ≤ 2θ ≤ 90°, in order of rising 2θ:
| d (Å) | I (rel.) |
| --- | --- |
| 7.970 | 30.5 |
| 3.156 | 100.0 |
| 2.515 | 12.6 |
| 2.329 | 33.6 |
| 2.145 | 36.6 |
| 1.876 | 7.6 |
| 1.774 | 18.7 |
| 1.578 | 10.0 |
| 1.460 | 10.4 |
| 1.368 | 10.5 |

```
data_Rb2YPuSe4
_chemical_formula_sum 'Rb2 Y1 Pu1 Se4'
_space_group_name_H-M_alt 'P 1 2/m 1'
_space_group_IT_number 10
_cell_length_a 7.4387
_cell_length_b 4.2867
_cell_length_c 8.3466
_cell_angle_alpha 90.00
_cell_angle_beta 107.27
_cell_angle_gamma 90.00
loop_
_space_group_symop_operation_xyz
'x,y,z'
'-x,-y,-z'
'-x,y,-z'
'x,-y,z'
loop_
_atom_site_label
_atom_site_type_symbol
_atom_site_fract_x
_atom_site_fract_y
_atom_site_fract_z
_atom_site_occupancy
Rb1 Rb 0.0000 0.0000 0.0000 1
Rb2 Rb 0.5000 0.5000 0.0000 1
Y1 Y 0.0000 0.5000 0.5000 1
Pu1 Pu 0.5000 0.0000 0.5000 1
Se1 Se 0.2282 0.0000 0.6962 1
Se2 Se 0.2660 0.5000 0.3053 1
```

---

# BaNa2Ag2Sb2
Simulated powder XRD pattern, Cu Kα. Input: DFT lattice parameters and positions (GGA-PBE).

Top 10 peaks for 10° ≤ 2θ ≤ 90°, in order of rising 2θ:
| d (Å) | I (rel.) |
| --- | --- |
| 4.774 | 43.0 |
| 3.662 | 33.4 |
| 3.419 | 46.3 |
| 2.951 | 66.5 |
| 2.741 | 26.2 |
| 2.460 | 100.0 |
| 2.386 | 27.0 |
| 2.187 | 32.8 |
| 1.713 | 49.0 |
| 1.421 | 22.9 |

```
data_BaNa2Ag2Sb2
_chemical_formula_sum 'Ba3 Na6 Ag6 Sb6'
_space_group_name_H-M_alt 'R -3 m'
_space_group_IT_number 166
_space_group_name_Hall '-R 3 2"'
_cell_length_a 4.9201
_cell_length_b 4.9201
_cell_length_c 28.6415
_cell_angle_alpha 90.00
_cell_angle_beta 90.00
_cell_angle_gamma 120.00
loop_
_atom_site_label
_atom_site_type_symbol
_atom_site_fract_x
_atom_site_fract_y
_atom_site_fract_z
_atom_site_occupancy
Ba1 Ba 0.0000 0.0000 0.0000 1
Na1 Na 0.0000 0.0000 0.1372 1
Ag1 Ag 0.0000 0.0000 0.4181 1
Sb1 Sb 0.0000 0.0000 0.2527 1
```

---

# TcOsAu2
Simulated powder XRD pattern, Cu Kα. Input: DFT lattice parameters and positions (GGA-PBE).

Top 10 peaks for 10° ≤ 2θ ≤ 90°, in order of rising 2θ:
| d (Å) | I (rel.) |
| --- | --- |
| 3.306 | 7.7 |
| 2.480 | 33.0 |
| 2.363 | 37.4 |
| 2.185 | 100.0 |
| 1.711 | 21.7 |
| 1.367 | 17.9 |
| 1.327 | 20.5 |
| 1.232 | 7.4 |
| 1.217 | 8.0 |
| 1.092 | 10.9 |

```
data_TcOsAu2
_chemical_formula_sum 'Tc2 Os2 Au4'
_space_group_name_H-M_alt 'C m m 2'
_space_group_IT_number 35
_cell_length_a 2.8385
_cell_length_b 4.7261
_cell_length_c 9.9190
_cell_angle_alpha 90.00
_cell_angle_beta 90.00
_cell_angle_gamma 90.00
loop_
_space_group_symop_operation_xyz
'x,y,z'
'-x,-y,z'
'-x,y,z'
'x,-y,z'
'x+1/2,y+1/2,z'
'-x+1/2,-y+1/2,z'
'-x+1/2,y+1/2,z'
'x+1/2,-y+1/2,z'
loop_
_atom_site_label
_atom_site_type_symbol
_atom_site_fract_x
_atom_site_fract_y
_atom_site_fract_z
_atom_site_occupancy
Tc1 Tc 0.0000 0.0000 0.0000 1
Os1 Os 0.0000 0.5000 0.2140 1
Au1 Au 0.0000 0.0000 0.4747 1
Au2 Au 0.0000 0.5000 0.7419 1
```

---

# CsNa2H4Cl3O2
Simulated powder XRD pattern, Cu Kα. Input: DFT lattice parameters and positions (GGA-PBE).

Top 10 peaks for 10° ≤ 2θ ≤ 90°, in order of rising 2θ:
| d (Å) | I (rel.) |
| --- | --- |
| 5.482 | 33.9 |
| 5.197 | 40.9 |
| 4.088 | 52.6 |
| 3.107 | 100.0 |
| 2.951 | 38.8 |
| 2.924 | 48.3 |
| 2.856 | 42.3 |
| 2.813 | 66.2 |
| 2.792 | 32.2 |
| 2.078 | 46.1 |

```
data_CsNa2H4Cl3O2
_chemical_formula_sum 'Cs4 Na8 H16 Cl12 O8'
_space_group_name_H-M_alt 'C 1 2 1'
_space_group_IT_number 5
_cell_length_a 17.1226
_cell_length_b 5.9020
_cell_length_c 10.9710
_cell_angle_alpha 90.00
_cell_angle_beta 127.81
_cell_angle_gamma 90.00
loop_
_space_group_symop_operation_xyz
'x,y,z'
'-x,y,-z'
'x+1/2,y+1/2,z'
'-x+1/2,y+1/2,-z'
loop_
_atom_site_label
_atom_site_type_symbol
_atom_site_fract_x
_atom_site_fract_y
_atom_site_fract_z
_atom_site_occupancy
Cs1 Cs 0.2499 0.0000 0.2498 1
Na1 Na 0.0000 0.0856 0.5000 1
Na2 Na 0.0000 0.4136 0.0000 1
Na3 Na 0.0001 0.7498 0.2501 1
H1 H 0.1151 0.1857 0.3868 1
H2 H 0.1152 0.3141 0.8867 1
H3 H 0.1790 0.0041 0.5127 1
H4 H 0.1791 0.4957 0.0125 1
Cl1 Cl 0.0000 0.5754 0.5000 1
Cl2 Cl 0.0000 0.9241 0.0000 1
Cl3 Cl 0.1573 0.0259 0.8214 1
Cl4 Cl 0.1574 0.4735 0.3212 1
O1 O 0.1092 0.0476 0.4325 1
O2 O 0.1093 0.4522 0.9323 1
```

---

# K2Na17Hg2
Simulated powder XRD pattern, Cu Kα. Input: DFT lattice parameters and positions (GGA-PBE).

Top 10 peaks for 10° ≤ 2θ ≤ 90°, in order of rising 2θ:
| d (Å) | I (rel.) |
| --- | --- |
| 6.806 | 74.0 |
| 6.355 | 62.3 |
| 6.167 | 63.4 |
| 5.268 | 78.0 |
| 4.645 | 53.9 |
| 3.947 | 44.8 |
| 3.783 | 48.9 |
| 3.175 | 45.6 |
| 3.092 | 100.0 |
| 3.083 | 58.2 |

```
data_K2Na17Hg2
_chemical_formula_sum 'K4 Na34 Hg4'
_space_group_name_H-M_alt 'C 1 2/m 1'
_space_group_IT_number 12
_cell_length_a 13.9251
_cell_length_b 12.7103
_cell_length_c 9.6318
_cell_angle_alpha 90.00
_cell_angle_beta 102.16
_cell_angle_gamma 90.00
loop_
_space_group_symop_operation_xyz
'x,y,z'
'-x,-y,-z'
'-x,y,-z'
'x,-y,z'
'x+1/2,y+1/2,z'
'-x+1/2,-y+1/2,-z'
'-x+1/2,y+1/2,-z'
'x+1/2,-y+1/2,z'
loop_
_atom_site_label
_atom_site_type_symbol
_atom_site_fract_x
_atom_site_fract_y
_atom_site_fract_z
_atom_site_occupancy
K1 K 0.1699 0.0000 0.3544 1
Na1 Na 0.0000 0.1556 0.0000 1
Na2 Na 0.0000 0.5000 0.5000 1
Na3 Na 0.0826 0.2483 0.6649 1
Na4 Na 0.1087 0.5000 0.8970 1
Na5 Na 0.1235 0.3617 0.2426 1
Na6 Na 0.1588 0.0000 0.8155 1
Na7 Na 0.2500 0.2500 0.0000 1
Hg1 Hg 0.2500 0.2500 0.5000 1
```

---

# Rb2HCCl6
Simulated powder XRD pattern, Cu Kα. Input: DFT lattice parameters and positions (GGA-PBE).

Top 10 peaks for 10° ≤ 2θ ≤ 90°, in order of rising 2θ:
| d (Å) | I (rel.) |
| --- | --- |
| 3.658 | 24.3 |
| 3.415 | 49.0 |
| 2.850 | 100.0 |
| 2.800 | 18.7 |
| 2.587 | 45.2 |
| 2.355 | 14.4 |
| 2.081 | 12.9 |
| 1.622 | 21.4 |
| 1.612 | 12.2 |
| 1.539 | 13.5 |

```
data_Rb2HCCl6
_chemical_formula_sum 'Rb4 H2 C2 Cl12'
_space_group_name_H-M_alt 'I 4/m m m'
_space_group_IT_number 139
_space_group_name_Hall '-I 4 2'
_cell_length_a 7.3161
_cell_length_b 7.3161
_cell_length_c 9.0939
_cell_angle_alpha 90.00
_cell_angle_beta 90.00
_cell_angle_gamma 90.00
loop_
_atom_site_label
_atom_site_type_symbol
_atom_site_fract_x
_atom_site_fract_y
_atom_site_fract_z
_atom_site_occupancy
Rb1 Rb 0.0000 0.5000 0.2500 1
H1 H 0.0000 0.0000 0.0000 1
C1 C 0.0000 0.0000 0.5000 1
Cl1 Cl 0.0000 0.0000 0.1697 1
Cl2 Cl 0.1899 0.1899 0.5000 1
```